(1)
For La2Ge3, a crystal structure in Alexandria, relaxed with GGA-PBE gives the theoretical powder X-ray diffraction pattern in this record (Cu Kα, 1.54184 Å).
Lines closer than 0.1° are merged.

Main lines, in order of rising 2θ (2θ = 5–70°):
2theta, d/Å, I (rel.)
27.5, 3.246, 28
32.2, 2.776, 100
37.0, 2.431, 14
37.5, 2.397, 31
41.6, 2.169, 19
43.6, 2.076, 17
48.2, 1.887, 13
57.3, 1.608, 18

Cell and atoms:
```
La2Ge3
1.0
-2.0758 2.1690 7.3372
2.0758 -2.1690 7.3372
2.0758 2.1690 -7.3372
La Ge
2 3
Direct
0.0000 0.0000 0.0000
0.7513 0.2513 0.5000
0.3203 0.8203 0.5000
0.4237 0.4237 0.0000
0.5930 0.5930 0.0000
```

(2)
For Mn2TlFeCl8, a crystal structure in Alexandria, relaxed with GGA-PBE gives the theoretical powder X-ray diffraction pattern in this record (Cu Kα, 1.54184 Å).
Lines closer than 0.1° are merged.

Main lines, in order of rising 2θ (2θ = 5–70°):
2theta, d/Å, I (rel.)
20.2, 4.406, 100
20.8, 4.266, 83
27.0, 3.302, 59
30.8, 2.900, 62
39.3, 2.294, 36
40.0, 2.253, 80
40.7, 2.215, 41
49.3, 1.847, 40

Cell and atoms:
```
Mn2TlFeCl8
1.0
6.0044 0.0000 0.0000
0.0000 7.9096 0.0000
-0.2023 0.0000 6.2674
Mn Tl Fe Cl
2 1 1 8
Direct
0.0000 0.2411 0.0000
0.0000 0.7589 0.0000
0.5000 0.5000 0.5000
0.5000 0.0000 0.5000
0.2008 0.5000 0.8554
0.2256 0.0000 0.8278
0.2693 0.2095 0.3260
0.2693 0.7905 0.3260
0.7307 0.2095 0.6740
0.7307 0.7905 0.6740
0.7744 0.0000 0.1722
0.7992 0.5000 0.1446
```

(3)
For Sr3CaMg3, a crystal structure in Alexandria, relaxed with GGA-PBE gives the theoretical powder X-ray diffraction pattern in this record (Cu Kα, 1.54184 Å).
Lines closer than 0.1° are merged.

Main lines, in order of rising 2θ (2θ = 5–70°):
2theta, d/Å, I (rel.)
21.7, 4.098, 41
21.9, 4.053, 23
29.3, 3.048, 29
31.0, 2.882, 100
32.3, 2.767, 19
44.2, 2.049, 14
50.2, 1.817, 14
53.1, 1.726, 19

Cell and atoms:
```
Sr3CaMg3
1.0
5.5348 -6.0958 0.0000
5.5348 6.0958 0.0000
0.0000 0.0000 8.1070
Sr Ca Mg
6 2 6
Direct
0.2315 0.7685 0.0000
0.2727 0.2727 0.0000
0.2845 0.2845 0.5000
0.7155 0.7155 0.5000
0.7273 0.7273 0.0000
0.7685 0.2315 0.0000
0.2278 0.7722 0.5000
0.7722 0.2278 0.5000
0.0000 0.0000 0.2616
0.0000 0.0000 0.7384
0.0000 0.5000 0.2630
0.0000 0.5000 0.7370
0.5000 0.0000 0.2630
0.5000 0.0000 0.7370
```

(4)
For Hf4Ni, a crystal structure in Alexandria, relaxed with GGA-PBE gives the theoretical powder X-ray diffraction pattern in this record (Cu Kα, 1.54184 Å).
Lines closer than 0.1° are merged.

Main lines, in order of rising 2θ (2θ = 5–70°):
2theta, d/Å, I (rel.)
30.0, 2.983, 11
32.4, 2.766, 11
36.3, 2.474, 60
37.9, 2.372, 100
52.3, 1.749, 16
56.2, 1.635, 10
66.4, 1.408, 32
69.6, 1.351, 18

Cell and atoms:
```
Hf4Ni
1.0
-3.9111 3.9111 1.6135
3.9111 -3.9111 1.6135
3.9111 3.9111 -1.6135
Hf Ni
4 1
Direct
0.0822 0.2765 0.3587
0.2765 0.9178 0.1943
0.7235 0.0822 0.8057
0.9178 0.7235 0.6413
0.5000 0.5000 0.0000
```

(5)
For Cs2MnBr7, a crystal structure in Alexandria, relaxed with GGA-PBE gives the theoretical powder X-ray diffraction pattern in this record (Cu Kα, 1.54184 Å).
Lines closer than 0.1° are merged.

Main lines, in order of rising 2θ (2θ = 5–70°):
2theta, d/Å, I (rel.)
21.2, 4.189, 23
22.0, 4.044, 36
26.7, 3.340, 100
30.2, 2.962, 74
32.3, 2.767, 37
43.2, 2.095, 21
44.8, 2.022, 46
55.0, 1.670, 19

Cell and atoms:
```
Cs2MnBr7
1.0
-4.1890 4.1890 5.5349
4.1890 -4.1890 5.5349
4.1890 4.1890 -5.5349
Cs Mn Br
2 1 7
Direct
0.2500 0.7500 0.5000
0.7500 0.2500 0.5000
0.0000 0.0000 0.0000
0.2051 0.2051 0.4103
0.2051 0.7949 0.0000
0.2673 0.2673 0.0000
0.5000 0.5000 0.0000
0.7327 0.7327 0.0000
0.7949 0.2051 0.0000
0.7949 0.7949 0.5897
```

(6)
For Ag6P6O19, a crystal structure in Alexandria, relaxed with GGA-PBE gives the theoretical powder X-ray diffraction pattern in this record (Cu Kα, 1.54184 Å).
Lines closer than 0.1° are merged.

Main lines, in order of rising 2θ (2θ = 5–70°):
2theta, d/Å, I (rel.)
11.3, 7.848, 29
18.6, 4.777, 17
27.1, 3.288, 29
27.4, 3.260, 22
30.1, 2.966, 100
31.8, 2.811, 26
51.1, 1.787, 20
53.5, 1.713, 14

Cell and atoms:
```
Ag6P6O19
1.0
7.8481 4.5311 2.2386
-7.8481 4.5311 2.2386
0.0000 -9.0622 2.2386
Ag P O
6 6 19
Direct
0.2279 0.5306 0.6786
0.3214 0.7721 0.4694
0.4694 0.3214 0.7721
0.5306 0.6786 0.2279
0.6785 0.2279 0.5306
0.7721 0.4694 0.3215
0.0290 0.1527 0.7782
0.1527 0.7782 0.0290
0.2218 0.9710 0.8473
0.7782 0.0290 0.1527
0.8473 0.2218 0.9710
0.9710 0.8473 0.2218
0.0220 0.2383 0.9626
0.0236 0.5547 0.8169
0.0374 0.9780 0.7617
0.1231 0.7573 0.6485
0.1831 0.9764 0.4453
0.2383 0.9626 0.0220
0.2427 0.3515 0.8769
0.3515 0.8769 0.2427
0.4453 0.1831 0.9764
0.5000 0.5000 0.5000
0.5547 0.8169 0.0236
0.6485 0.1231 0.7573
0.7573 0.6485 0.1231
0.7617 0.0374 0.9780
0.8169 0.0236 0.5547
0.8769 0.2427 0.3515
0.9626 0.0220 0.2383
0.9764 0.4453 0.1831
0.9780 0.7617 0.0374
```

Q: Number 2 is which compound?
A: Mn2TlFeCl8